(1)
Diffraction record for MgIn2O4. The powder XRD pattern is computed, not measured: it uses a structure optimized by DFT (PBE) and Cu Kα (weighted mean of Kα1 and Kα2).
Intensities are scaled so that the largest is 100.

Cell and atoms:
Lattice parameters (Å, degrees): 6.328 6.438 8.964 90.00 90.00 90.00
Space group Imma (No. 74)
Inequivalent atoms, fractional coordinates:
Mg  0.250  0.250  0.250 [4 per cell]
In  0.000  0.000  0.000 [4 per cell]
In  0.000  0.250  0.631 [4 per cell]
O  0.000  0.024  0.243 [8 per cell]
O  0.236  0.250  0.013 [8 per cell]

Top 10 peaks for 10 to 90 degrees two-theta, by angle:
| two_theta | d/Å | I/Imax | hkl |
| --- | --- | --- | --- |
| 17.0 | 5.229 | 17 | 0 1 1 |
| 28.1 | 3.180 | 55 | 1 1 2 |
| 28.2 | 3.164 | 42 | 2 0 0 |
| 32.8 | 2.732 | 100 | 1 2 1 |
| 33.1 | 2.708 | 42 | 2 1 1 |
| 33.2 | 2.702 | 54 | 1 0 3 |
| 49.6 | 1.839 | 17 | 0 2 4 |
| 52.9 | 1.731 | 27 | 3 2 1 |
| 53.1 | 1.726 | 18 | 1 0 5 |
| 58.0 | 1.590 | 47 | 2 2 4 |


(2)
Diffraction record for Tb2Al6Si4Au. The powder XRD pattern is computed, not measured: it uses a structure optimized by DFT (PBE) and Cu Kα (weighted mean of Kα1 and Kα2).
Intensities are scaled so that the largest is 100.

Cell and atoms:
Lattice parameters (Å, degrees): 4.2115 4.2115 50.5289 90.00 90.00 120.00
Space group R-3m (No. 166, hexagonal axes)
Inequivalent atoms, fractional coordinates:
Tb  0.0000  0.0000  0.0655 [6 per cell]
Al  0.0000  0.0000  0.1831 [6 per cell]
Al  0.0000  0.0000  0.3146 [6 per cell]
Al  0.0000  0.0000  0.4479 [6 per cell]
Si  0.0000  0.0000  0.2340 [6 per cell]
Si  0.0000  0.0000  0.3647 [6 per cell]
Au  0.0000  0.0000  0.5000 [3 per cell]

Top 10 peaks for 10 to 90 degrees two-theta, by angle:
| two_theta | d/Å | I/Imax | hkl |
| --- | --- | --- | --- |
| 15.8 | 5.614 | 56 | 0 0 9 |
| 24.7 | 3.610 | 41 | 0 1 2 |
| 26.0 | 3.431 | 31 | 0 1 5 |
| 27.4 | 3.255 | 100 | 1 0 7 |
| 35.0 | 2.565 | 28 | 0 1 14 |
| 37.7 | 2.387 | 60 | 1 0 16 |
| 43.0 | 2.106 | 62 | 1 1 0 |
| 46.0 | 1.972 | 24 | 1 1 9 |
| 48.4 | 1.882 | 33 | 0 1 23 |
| 51.7 | 1.768 | 23 | 0 2 7 |


Copy entry 2 word for word.
Diffraction record for Tb2Al6Si4Au. The powder XRD pattern is computed, not measured: it uses a structure optimized by DFT (PBE) and Cu Kα (weighted mean of Kα1 and Kα2).
Intensities are scaled so that the largest is 100.

Cell and atoms:
Lattice parameters (Å, degrees): 4.2115 4.2115 50.5289 90.00 90.00 120.00
Space group R-3m (No. 166, hexagonal axes)
Inequivalent atoms, fractional coordinates:
Tb  0.0000  0.0000  0.0655 [6 per cell]
Al  0.0000  0.0000  0.1831 [6 per cell]
Al  0.0000  0.0000  0.3146 [6 per cell]
Al  0.0000  0.0000  0.4479 [6 per cell]
Si  0.0000  0.0000  0.2340 [6 per cell]
Si  0.0000  0.0000  0.3647 [6 per cell]
Au  0.0000  0.0000  0.5000 [3 per cell]

Top 10 peaks for 10 to 90 degrees two-theta, by angle:
| two_theta | d/Å | I/Imax | hkl |
| --- | --- | --- | --- |
| 15.8 | 5.614 | 56 | 0 0 9 |
| 24.7 | 3.610 | 41 | 0 1 2 |
| 26.0 | 3.431 | 31 | 0 1 5 |
| 27.4 | 3.255 | 100 | 1 0 7 |
| 35.0 | 2.565 | 28 | 0 1 14 |
| 37.7 | 2.387 | 60 | 1 0 16 |
| 43.0 | 2.106 | 62 | 1 1 0 |
| 46.0 | 1.972 | 24 | 1 1 9 |
| 48.4 | 1.882 | 33 | 0 1 23 |
| 51.7 | 1.768 | 23 | 0 2 7 |